For MnOF, a cell relaxed with PBE+U gives the theoretical powder XRD pattern in this record (Cu Kα (weighted mean of Kα1 and Kα2)).

Atomic structure:
a b c (Å): 4.6707 5.6954 7.7794
angles (deg): 85.41 88.02 87.14
Space group P-1 (No. 2)
Asymmetric unit:
Mn (0.0000, 0.0000, 0.0000) [1 per cell]
Mn (0.0154, 0.3303, 0.6503) [2 per cell]
Mn (0.4818, 0.1618, 0.3161) [2 per cell]
Mn (0.5000, 0.5000, 0.0000) [1 per cell]
O (0.1898, 0.0339, 0.7661) [2 per cell]
O (0.1988, 0.3766, 0.4281) [2 per cell]
O (0.3145, 0.2139, 0.0922) [2 per cell]
F (0.2014, 0.6989, 0.1272) [2 per cell]
F (0.2922, 0.5330, 0.7836) [2 per cell]
F (0.3151, 0.8624, 0.4560) [2 per cell]

The 10 most intense peaks (2θ from 10° to 80°), by intensity:
26.0 deg, I = 100
27.6 deg, I = 89
34.8 deg, I = 42
53.4 deg, I = 28
34.5 deg, I = 27
53.7 deg, I = 26
34.9 deg, I = 22
67.5 deg, I = 19
51.3 deg, I = 16
52.0 deg, I = 16